(1)
This entry pairs a crystal structure of SrGaAs2 with its simulated X-ray powder pattern. Radiation: copper Kα. Structure: the GGA-PBE geometry in Alexandria.

Peak list (10 most intense, 2θ = 5–70°, in order of rising 2θ)
hkl, Position (°2θ), Rel. int.
0 2 0, 27.15, 67
2 0 -2, 28.76, 100
1 0 -4, 30.77, 23
0 0 4, 33.92, 34
1 2 2, 38.96, 29
2 2 -2, 39.98, 39
1 2 -4, 41.49, 22
2 0 2, 41.88, 29
0 3 3, 48.97, 20
2 3 -5, 59.70, 20

Structure:
abc: 6.262 6.569 11.638
angles: 90.00 114.69 90.00
Space group P2/c (No. 13)
Inequivalent atoms, fractional coordinates:
Sr 0.161 0.244 0.128 (multiplicity 4)
Ga 0.314 0.402 0.884 (multiplicity 4)
As 0.110 0.241 0.674 (multiplicity 4)
As 0.383 0.227 0.430 (multiplicity 4)

=====

(2)
This entry pairs a crystal structure of TaGa2As4 with its simulated X-ray powder pattern. Radiation: copper Kα. Structure: the GGA-PBE geometry in Alexandria.

Peak list (10 most intense, 2θ = 5–70°, in order of rising 2θ)
hkl, Position (°2θ), Rel. int.
0 0 2, 13.66, 70
1 0 1, 18.78, 29
1 1 0, 24.81, 66
2 0 0, 35.38, 100
2 0 2, 38.09, 23
1 0 5, 39.01, 86
2 0 4, 45.40, 15
2 2 0, 50.90, 35
2 1 5, 53.68, 67
3 0 5, 65.94, 18

Structure:
abc: 5.074 5.074 12.963
angles: 90.00 90.00 90.00
Space group I4/mmm (No. 139)
Inequivalent atoms, fractional coordinates:
Ta 0.000 0.000 0.000 (multiplicity 2)
Ga 0.000 0.000 0.392 (multiplicity 4)
As 0.000 0.000 0.200 (multiplicity 4)
As 0.000 0.500 0.000 (multiplicity 4)

=====

(3)
This entry pairs a crystal structure of GaTc2As with its simulated X-ray powder pattern. Radiation: copper Kα. Structure: the GGA-PBE geometry in Alexandria.

Peak list (8 most intense, 2θ = 5–70°, in order of rising 2θ)
hkl, Position (°2θ), Rel. int.
0 0 1, 14.34, 1
0 0 2, 28.91, 1
1 0 0, 29.16, 3
1 0 2, 41.52, 100
1 1 0, 41.70, 50
1 1 2, 51.54, 1
0 0 4, 59.90, 8
2 0 0, 60.45, 16

Structure:
abc: 3.063 3.063 6.177
angles: 90.00 90.00 90.00
Space group P4/mmm (No. 123)
Inequivalent atoms, fractional coordinates:
Ga 0.000 0.000 0.000 (multiplicity 1)
Tc 0.500 0.500 0.257 (multiplicity 2)
As 0.000 0.000 0.500 (multiplicity 1)

=====

(4)
This entry pairs a crystal structure of Ga3Te3As with its simulated X-ray powder pattern. Radiation: copper Kα. Structure: the GGA-PBE geometry in Alexandria.

Peak list (10 most intense, 2θ = 5–70°, in order of rising 2θ)
hkl, Position (°2θ), Rel. int.
0 4 1, 25.93, 86
1 0 1, 26.04, 98
1 4 0, 30.17, 13
1 4 2, 43.03, 100
2 0 0, 43.33, 21
0 4 3, 50.78, 26
1 8 1, 51.01, 28
2 4 1, 51.19, 27
2 8 0, 62.74, 15
2 4 3, 68.90, 18

Structure:
abc: 4.176 16.805 5.971
angles: 90.00 90.00 90.00
Space group Pmn2_1 (No. 31)
Inequivalent atoms, fractional coordinates:
Ga 0.000 0.056 0.000 (multiplicity 2)
Ga 0.000 0.569 0.981 (multiplicity 2)
Ga 0.000 0.816 0.975 (multiplicity 2)
Te 0.000 0.191 0.762 (multiplicity 2)
Te 0.000 0.428 0.768 (multiplicity 2)
Te 0.000 0.691 0.717 (multiplicity 2)
As 0.000 0.940 0.740 (multiplicity 2)

=====

(5)
This entry pairs a crystal structure of Th4GaTe2As with its simulated X-ray powder pattern. Radiation: copper Kα. Structure: the GGA-PBE geometry in Alexandria.

Peak list (10 most intense, 2θ = 5–70°, in order of rising 2θ)
hkl, Position (°2θ), Rel. int.
1 1 -1, 24.93, 14
1 1 1, 28.73, 100
1 1 -3, 40.56, 23
2 0 2, 40.78, 11
0 2 0, 41.38, 13
3 1 -1, 41.61, 26
2 2 -2, 51.16, 14
4 0 -4, 59.50, 11
3 1 -5, 66.65, 8
5 1 -3, 68.14, 12

Structure:
abc: 7.507 4.364 7.757
angles: 90.00 109.09 90.00
Space group P2/m (No. 10)
Inequivalent atoms, fractional coordinates:
Th 0.239 0.000 0.217 (multiplicity 2)
Th 0.261 0.500 0.782 (multiplicity 2)
Ga 0.500 0.000 0.000 (multiplicity 1)
Te 0.000 0.000 0.500 (multiplicity 1)
Te 0.500 0.500 0.500 (multiplicity 1)
As 0.000 0.500 0.000 (multiplicity 1)

=====

(6)
This entry pairs a crystal structure of Tm4GaAs3 with its simulated X-ray powder pattern. Radiation: copper Kα. Structure: the GGA-PBE geometry in Alexandria.

Peak list (6 most intense, 2θ = 5–70°, in order of rising 2θ)
hkl, Position (°2θ), Rel. int.
1 1 1, 26.80, 27
2 0 0, 31.04, 100
2 2 0, 44.48, 74
3 1 1, 52.69, 13
2 2 2, 55.23, 26
4 0 0, 64.72, 12

Structure:
abc: 5.762 5.762 5.762
angles: 90.00 90.00 90.00
Space group Pm-3m (No. 221)
Inequivalent atoms, fractional coordinates:
Tm 0.000 0.000 0.000 (multiplicity 1)
Tm 0.000 0.500 0.500 (multiplicity 3)
Ga 0.500 0.500 0.500 (multiplicity 1)
As 0.000 0.000 0.500 (multiplicity 3)